1.
Calculated powder X-ray diffraction pattern of CsRb2BePb for Cu Kα X-rays, from a crystal structure in Alexandria, relaxed with GGA-PBE.

Crystal structure
abc: 7.586 7.586 4.739
angles: 90.00 90.00 90.00
Atoms (fractional coordinates):
Cs: 0.000 0.000 0.000
Rb: 0.000 0.500 0.500
Rb: 0.500 0.000 0.500
Be: 0.500 0.500 0.000
Pb: 0.500 0.500 0.500

Largest 6 diffraction maxima, low angle first, 5° ≤ 2θ ≤ 70°:
22.12°, rel. 92
23.45°, rel. 100
32.45°, rel. 71
33.41°, rel. 40
45.11°, rel. 35
47.27°, rel. 25

2.
Calculated powder X-ray diffraction pattern of Th2RhCl2 for Cu Kα X-rays, from a crystal structure in Alexandria, relaxed with GGA-PBE.

Crystal structure
abc: 7.122 4.109 11.213
angles: 90.00 103.47 90.00
Atoms (fractional coordinates):
Th: 0.220 0.000 0.146
Th: 0.280 0.500 0.854
Th: 0.720 0.500 0.146
Th: 0.780 0.000 0.854
Rh: 0.000 0.500 0.000
Rh: 0.500 0.000 0.000
Cl: 0.051 0.000 0.683
Cl: 0.449 0.500 0.317
Cl: 0.551 0.500 0.683
Cl: 0.949 0.000 0.317

Largest 6 diffraction maxima, low angle first, 5° ≤ 2θ ≤ 70°:
8.11°, rel. 100
27.44°, rel. 19
31.25°, rel. 15
31.77°, rel. 29
44.07°, rel. 18
46.24°, rel. 10

3.
Calculated powder X-ray diffraction pattern of Ba11TlIr2 for Cu Kα X-rays, from a crystal structure in Alexandria, relaxed with GGA-PBE.

Crystal structure
abc: 12.920 12.920 12.920
angles: 112.57 111.95 104.03
Atoms (fractional coordinates):
Ba: 0.000 0.000 0.000
Ba: 0.073 0.858 0.661
Ba: 0.085 0.432 0.794
Ba: 0.139 0.932 0.348
Ba: 0.197 0.412 0.339
Ba: 0.198 0.811 0.009
Ba: 0.302 0.311 0.613
Ba: 0.303 0.642 0.215
Ba: 0.361 0.709 0.794
Ba: 0.415 0.209 0.348
Ba: 0.427 0.088 0.785
Ba: 0.500 0.500 0.000
Ba: 0.573 0.912 0.215
Ba: 0.585 0.791 0.652
Ba: 0.639 0.291 0.206
Ba: 0.697 0.358 0.785
Ba: 0.698 0.689 0.387
Ba: 0.802 0.189 0.991
Ba: 0.803 0.588 0.661
Ba: 0.861 0.068 0.652
Ba: 0.915 0.568 0.206
Ba: 0.927 0.142 0.339
Tl: 0.250 0.750 0.500
Tl: 0.750 0.250 0.500
Ir: 0.160 0.162 0.323
Ir: 0.340 0.662 0.002
Ir: 0.660 0.338 0.998
Ir: 0.840 0.838 0.677

Largest 6 diffraction maxima, low angle first, 5° ≤ 2θ ≤ 70°:
14.13°, rel. 88
14.84°, rel. 71
16.61°, rel. 43
27.97°, rel. 44
28.48°, rel. 100
28.60°, rel. 54

4.
Calculated powder X-ray diffraction pattern of Tm3ZnCu3 for Cu Kα X-rays, from a crystal structure in Alexandria, relaxed with GGA-PBE.

Crystal structure
abc: 5.568 5.568 13.683
angles: 108.42 108.42 44.29
Atoms (fractional coordinates):
Tm: 0.034 0.034 0.385
Tm: 0.108 0.108 0.923
Tm: 0.246 0.246 0.231
Tm: 0.754 0.754 0.769
Tm: 0.892 0.892 0.077
Tm: 0.966 0.966 0.615
Zn: 0.256 0.256 0.602
Zn: 0.744 0.744 0.398
Cu: 0.373 0.373 0.455
Cu: 0.392 0.392 0.923
Cu: 0.469 0.469 0.768
Cu: 0.531 0.531 0.232
Cu: 0.608 0.608 0.077
Cu: 0.627 0.627 0.545

Largest 6 diffraction maxima, low angle first, 5° ≤ 2θ ≤ 70°:
33.31°, rel. 57
33.80°, rel. 100
34.82°, rel. 33
38.57°, rel. 27
41.32°, rel. 40
43.10°, rel. 40

5.
Calculated powder X-ray diffraction pattern of Zn12Bi for Cu Kα X-rays, from a crystal structure in Alexandria, relaxed with GGA-PBE.

Crystal structure
abc: 6.878 6.878 6.878
angles: 98.98 98.98 133.46
Atoms (fractional coordinates):
Zn: 0.000 0.000 0.500
Zn: 0.000 0.228 0.228
Zn: 0.000 0.500 0.000
Zn: 0.000 0.772 0.772
Zn: 0.147 0.500 0.647
Zn: 0.228 0.000 0.228
Zn: 0.500 0.000 0.000
Zn: 0.500 0.147 0.647
Zn: 0.500 0.500 0.500
Zn: 0.500 0.853 0.353
Zn: 0.772 0.000 0.772
Zn: 0.853 0.500 0.353
Bi: 0.500 0.500 0.000

Largest 6 diffraction maxima, low angle first, 5° ≤ 2θ ≤ 70°:
27.71°, rel. 43
34.33°, rel. 49
38.79°, rel. 80
39.98°, rel. 100
40.38°, rel. 60
43.95°, rel. 28

6.
Calculated powder X-ray diffraction pattern of Mg3Sc6O for Cu Kα X-rays, from a crystal structure in Alexandria, relaxed with GGA-PBE.

Crystal structure
abc: 7.694 7.694 7.694
angles: 78.30 78.30 78.30
Atoms (fractional coordinates):
Mg: 0.031 0.359 0.359
Mg: 0.359 0.031 0.359
Mg: 0.359 0.359 0.031
Mg: 0.641 0.641 0.969
Mg: 0.641 0.969 0.641
Mg: 0.969 0.641 0.641
Sc: 0.029 0.029 0.704
Sc: 0.029 0.704 0.029
Sc: 0.296 0.971 0.971
Sc: 0.309 0.309 0.641
Sc: 0.309 0.641 0.309
Sc: 0.359 0.691 0.691
Sc: 0.641 0.309 0.309
Sc: 0.691 0.359 0.691
Sc: 0.691 0.691 0.359
Sc: 0.704 0.029 0.029
Sc: 0.971 0.296 0.971
Sc: 0.971 0.971 0.296
O: 0.000 0.000 0.000
O: 0.500 0.500 0.500

Largest 6 diffraction maxima, low angle first, 5° ≤ 2θ ≤ 70°:
15.38°, rel. 17
31.91°, rel. 19
34.05°, rel. 24
36.29°, rel. 100
47.35°, rel. 18
56.86°, rel. 17

7.
Calculated powder X-ray diffraction pattern of Pr8HoSb6 for Cu Kα X-rays, from a crystal structure in Alexandria, relaxed with GGA-PBE.

Crystal structure
abc: 9.898 9.898 9.898
angles: 49.24 49.24 49.24
Atoms (fractional coordinates):
Pr: 0.038 0.380 0.718
Pr: 0.167 0.167 0.167
Pr: 0.282 0.962 0.620
Pr: 0.380 0.718 0.038
Pr: 0.620 0.282 0.962
Pr: 0.718 0.038 0.380
Pr: 0.833 0.833 0.833
Pr: 0.962 0.620 0.282
Ho: 0.500 0.500 0.500
Sb: 0.110 0.760 0.433
Sb: 0.240 0.567 0.890
Sb: 0.433 0.110 0.760
Sb: 0.567 0.890 0.240
Sb: 0.760 0.433 0.110
Sb: 0.890 0.240 0.567

Largest 6 diffraction maxima, low angle first, 5° ≤ 2θ ≤ 70°:
23.89°, rel. 35
29.90°, rel. 100
37.79°, rel. 58
38.00°, rel. 19
48.91°, rel. 25
63.42°, rel. 23

8.
Calculated powder X-ray diffraction pattern of Sr3Sn3Au8 for Cu Kα X-rays, from a crystal structure in Alexandria, relaxed with GGA-PBE.

Crystal structure
abc: 9.729 14.448 4.764
angles: 90.00 90.00 90.00
Atoms (fractional coordinates):
Sr: 0.000 0.000 0.000
Sr: 0.007 0.304 0.000
Sr: 0.493 0.804 0.500
Sr: 0.500 0.500 0.500
Sr: 0.507 0.196 0.500
Sr: 0.993 0.696 0.000
Sn: 0.000 0.500 0.500
Sn: 0.157 0.174 0.500
Sn: 0.343 0.674 0.000
Sn: 0.500 0.000 0.000
Sn: 0.657 0.326 0.000
Sn: 0.843 0.826 0.500
Au: 0.121 0.842 0.500
Au: 0.199 0.498 0.000
Au: 0.219 0.366 0.500
Au: 0.219 0.629 0.500
Au: 0.281 0.129 0.000
Au: 0.281 0.866 0.000
Au: 0.301 0.998 0.500
Au: 0.379 0.342 0.000
Au: 0.621 0.658 0.000
Au: 0.699 0.002 0.500
Au: 0.719 0.134 0.000
Au: 0.719 0.871 0.000
Au: 0.781 0.371 0.500
Au: 0.781 0.634 0.500
Au: 0.801 0.502 0.000
Au: 0.879 0.158 0.500

Largest 6 diffraction maxima, low angle first, 5° ≤ 2θ ≤ 70°:
18.24°, rel. 38
32.21°, rel. 100
35.73°, rel. 32
36.36°, rel. 30
37.77°, rel. 58
41.97°, rel. 36

9.
Calculated powder X-ray diffraction pattern of YAgGeO4 for Cu Kα X-rays, from a crystal structure in Alexandria, relaxed with GGA-PBE.

Crystal structure
abc: 6.434 6.434 6.434
angles: 124.22 113.29 92.42
Atoms (fractional coordinates):
Y: 0.000 0.000 0.000
Y: 0.500 0.000 0.500
Ag: 0.500 0.000 0.000
Ag: 0.500 0.500 0.500
Ge: 0.115 0.365 0.750
Ge: 0.885 0.635 0.250
O: 0.203 0.745 0.458
O: 0.212 0.255 0.958
O: 0.236 0.240 0.504
O: 0.236 0.732 0.996
O: 0.764 0.268 0.004
O: 0.764 0.760 0.496
O: 0.788 0.745 0.042
O: 0.797 0.255 0.542

Largest 6 diffraction maxima, low angle first, 5° ≤ 2θ ≤ 70°:
30.99°, rel. 82
32.32°, rel. 41
32.72°, rel. 43
33.67°, rel. 40
33.90°, rel. 100
57.73°, rel. 71

10.
Calculated powder X-ray diffraction pattern of TbY5Tm4 for Cu Kα X-rays, from a crystal structure in Alexandria, relaxed with GGA-PBE.

Crystal structure
abc: 5.409 7.009 8.731
angles: 89.94 72.04 89.96
Atoms (fractional coordinates):
Tb: 0.000 0.000 0.000
Y: 0.200 0.496 0.601
Y: 0.388 0.748 0.222
Y: 0.610 0.749 0.781
Y: 0.799 0.000 0.402
Y: 0.998 0.497 0.003
Tm: 0.199 0.000 0.603
Tm: 0.389 0.249 0.222
Tm: 0.610 0.247 0.781
Tm: 0.799 0.496 0.401

Largest 6 diffraction maxima, low angle first, 5° ≤ 2θ ≤ 70°:
30.87°, rel. 88
31.60°, rel. 100
33.12°, rel. 46
33.46°, rel. 43
47.79°, rel. 31
62.29°, rel. 26

11.
Calculated powder X-ray diffraction pattern of U11Se20 for Cu Kα X-rays, from a crystal structure in Alexandria, relaxed with GGA-PBE.

Crystal structure
abc: 10.732 10.732 6.645
angles: 90.00 90.00 90.00
Atoms (fractional coordinates):
U: 0.000 0.000 0.000
U: 0.000 0.000 0.498
U: 0.159 0.651 0.893
U: 0.162 0.351 0.394
U: 0.349 0.159 0.893
U: 0.351 0.838 0.394
U: 0.500 0.500 0.780
U: 0.649 0.162 0.394
U: 0.651 0.841 0.893
U: 0.838 0.649 0.394
U: 0.841 0.349 0.893
Se: 0.000 0.500 0.145
Se: 0.000 0.500 0.643
Se: 0.089 0.208 0.756
Se: 0.090 0.791 0.258
Se: 0.208 0.911 0.756
Se: 0.209 0.090 0.258
Se: 0.290 0.413 0.020
Se: 0.291 0.588 0.526
Se: 0.412 0.291 0.526
Se: 0.413 0.710 0.020
Se: 0.500 0.000 0.145
Se: 0.500 0.000 0.643
Se: 0.587 0.290 0.020
Se: 0.588 0.709 0.526
Se: 0.709 0.412 0.526
Se: 0.710 0.587 0.020
Se: 0.791 0.910 0.258
Se: 0.792 0.089 0.756
Se: 0.910 0.209 0.258
Se: 0.911 0.792 0.756

Largest 6 diffraction maxima, low angle first, 5° ≤ 2θ ≤ 70°:
22.86°, rel. 100
32.78°, rel. 36
37.09°, rel. 55
37.48°, rel. 42
37.90°, rel. 48
45.07°, rel. 49

12.
Calculated powder X-ray diffraction pattern of Pr3Si8Rh3 for Cu Kα X-rays, from a crystal structure in Alexandria, relaxed with GGA-PBE.

Crystal structure
abc: 8.022 8.022 8.022
angles: 149.83 103.53 84.35
Atoms (fractional coordinates):
Pr: 0.000 0.000 0.000
Pr: 0.308 0.308 0.000
Pr: 0.692 0.692 0.000
Si: 0.024 0.664 0.360
Si: 0.166 0.877 0.289
Si: 0.304 0.664 0.640
Si: 0.412 0.123 0.289
Si: 0.588 0.877 0.711
Si: 0.696 0.336 0.360
Si: 0.834 0.123 0.711
Si: 0.976 0.336 0.640
Rh: 0.281 0.500 0.781
Rh: 0.500 0.000 0.500
Rh: 0.719 0.500 0.219

Largest 6 diffraction maxima, low angle first, 5° ≤ 2θ ≤ 70°:
23.11°, rel. 16
28.93°, rel. 22
35.33°, rel. 17
36.12°, rel. 100
37.84°, rel. 16
43.33°, rel. 22